Starting from a structure optimized by DFT (GGA-PBE), the X-ray diffraction stick pattern of FeIrAu2 was computed for Cu Kα, 1.54184 Å.
Kinematic intensities with the Lorentz-polarization factor, no thermal factor.

The 10 most intense peaks (2θ from 15° to 90°), sorted by position:
d = 3.133 Å, 28.5 deg, intensity 22
d = 2.600 Å, 34.5 deg, intensity 13
d = 2.333 Å, 38.6 deg, intensity 100
d = 2.263 Å, 39.8 deg, intensity 98
d = 2.086 Å, 43.4 deg, intensity 72
d = 1.831 Å, 49.8 deg, intensity 26
d = 1.376 Å, 68.1 deg, intensity 38
d = 1.226 Å, 77.9 deg, intensity 13
d = 1.224 Å, 78.1 deg, intensity 13
d = 1.132 Å, 85.9 deg, intensity 22

Atomic structure:
Unit cell a=2.8792 b=3.6625 c=6.0525 alpha=90.00 beta=90.11 gamma=90.00
Space group Pm (No. 6)
Inequivalent atoms, fractional coordinates:
Fe 0.0000 0.0000 0.0000
Ir 0.4993 0.5000 0.8062
Au 0.4992 0.5000 0.2610
Au 0.9985 0.0000 0.5375



Starting from a structure optimized by DFT (GGA-PBE), the X-ray diffraction stick pattern of Pm2CuI2 was computed for Cu Kα, 1.54184 Å.
Kinematic intensities with the Lorentz-polarization factor, no thermal factor.

The 10 most intense peaks (2θ from 15° to 90°), sorted by position:
d = 3.226 Å, 27.7 deg, intensity 100
d = 2.948 Å, 30.3 deg, intensity 31
d = 2.807 Å, 31.9 deg, intensity 58
d = 2.183 Å, 41.4 deg, intensity 48
d = 2.089 Å, 43.3 deg, intensity 48
d = 1.754 Å, 52.2 deg, intensity 17
d = 1.510 Å, 61.4 deg, intensity 15
d = 1.436 Å, 64.9 deg, intensity 16
d = 1.343 Å, 70.0 deg, intensity 14
d = 1.224 Å, 78.1 deg, intensity 15

Atomic structure:
Unit cell a=4.1787 b=4.1787 c=35.5946 alpha=90.00 beta=90.00 gamma=120.00
Space group R-3m (No. 166, hexagonal axes)
Inequivalent atoms, fractional coordinates:
Pm 0.0000 0.0000 0.1195
Cu 0.0000 0.0000 0.5000
I 0.0000 0.0000 0.2741



Starting from a structure optimized by DFT (GGA-PBE), the X-ray diffraction stick pattern of NdDy2Er12 was computed for Cu Kα, 1.54184 Å.
Kinematic intensities with the Lorentz-polarization factor, no thermal factor.

The 10 most intense peaks (2θ from 15° to 90°), sorted by position:
d = 2.924 Å, 30.6 deg, intensity 100
d = 2.843 Å, 31.5 deg, intensity 43
d = 2.763 Å, 32.4 deg, intensity 68
d = 2.750 Å, 32.6 deg, intensity 38
d = 2.732 Å, 32.8 deg, intensity 69
d = 2.645 Å, 33.9 deg, intensity 32
d = 1.949 Å, 46.6 deg, intensity 28
d = 1.531 Å, 60.5 deg, intensity 22
d = 1.511 Å, 61.3 deg, intensity 19
d = 1.488 Å, 62.4 deg, intensity 21

Atomic structure:
Unit cell a=7.0635 b=11.0520 c=24.1623 alpha=90.00 beta=94.11 gamma=90.00
Space group C2/m (No. 12)
Inequivalent atoms, fractional coordinates:
Nd 0.2501 0.0000 0.0004
Dy 0.0674 0.0000 0.2724
Dy 0.0689 0.5000 0.2726
Er 0.0190 0.2500 0.0758
Er 0.1124 0.2508 0.4453
Er 0.1415 0.0000 0.5742
Er 0.1428 0.5000 0.5730
Er 0.1667 0.2507 0.6686
Er 0.1998 0.2493 0.7975
Er 0.2150 0.0000 0.8618
Er 0.2147 0.5000 0.8610